[1]
Calculated X-ray diffraction stick pattern
Compound: NaTaO3
Radiation: copper Kα
Structure: a crystal structure in the Materials Project, relaxed with PBE
Intensities are scaled so that the largest is 100.

Top 7 peaks for 2θ = 5–70°, low angle first:
2θ 22.32, I = 100, hkl 1 0 0
2θ 31.77, I = 97, hkl 1 1 0
2θ 39.17, I = 12, hkl 1 1 1
2θ 45.55, I = 32, hkl 2 0 0
2θ 51.29, I = 43, hkl 2 1 0
2θ 56.60, I = 39, hkl 2 1 1
2θ 66.38, I = 19, hkl 2 2 0

Structure:
Lattice parameters (Å, degrees): 3.9831 3.9831 3.9831 90.00 90.00 90.00
Space group Pm-3m (No. 221)
Symmetry-distinct sites (fractional):
Na  0.0000  0.0000  0.0000 x1
Ta  0.5000  0.5000  0.5000 x1
O  0.0000  0.5000  0.5000 x3

***

[2]
Calculated X-ray diffraction stick pattern
Compound: NaTaO3
Radiation: copper Kα
Structure: a crystal structure in the Materials Project, relaxed with PBE
Intensities are scaled so that the largest is 100.

Top 10 peaks for 2θ = 5–70°, low angle first:
2θ 14.62, I = 100, hkl 1 1 1
2θ 28.19, I = 49, hkl 3 1 1
2θ 29.48, I = 97, hkl 2 2 2
2θ 34.17, I = 33, hkl 4 0 0
2θ 37.34, I = 14, hkl 3 3 1
2θ 44.86, I = 16, hkl 3 3 3
2θ 49.09, I = 43, hkl 4 4 0
2θ 51.50, I = 21, hkl 5 3 1
2θ 58.30, I = 43, hkl 6 2 2
2θ 68.68, I = 13, hkl 7 3 1

Structure:
Lattice parameters (Å, degrees): 10.4976 10.4976 10.4976 90.00 90.00 90.00
Space group Fd-3m (No. 227, origin choice 2)
Symmetry-distinct sites (fractional):
Na  0.0000  0.0000  0.0000 x16
Ta  0.0000  0.0000  0.5000 x16
O  0.0699  0.3750  0.8750 x48

***

[3]
Calculated X-ray diffraction stick pattern
Compound: NaTaO3
Radiation: copper Kα
Structure: a crystal structure in the Materials Project, relaxed with PBE
Intensities are scaled so that the largest is 100.

Top 10 peaks for 2θ = 5–70°, low angle first:
2θ 14.48, I = 58, hkl 1 0 -1
2θ 14.75, I = 76, hkl 1 -1 1
2θ 28.15, I = 41, hkl 1 0 3
2θ 28.88, I = 52, hkl 0 2 0
2θ 29.20, I = 56, hkl 2 0 -2
2θ 29.75, I = 100, hkl 2 -2 2
2θ 33.81, I = 22, hkl 2 0 2
2θ 34.00, I = 23, hkl -2 2 2
2θ 34.39, I = 25, hkl 0 2 -4
2θ 48.96, I = 30, hkl 4 -2 0

Structure:
Lattice parameters (Å, degrees): 7.4441 7.4450 12.6781 105.74 90.75 118.87
Space group P1 (No. 1)
Symmetry-distinct sites (fractional):
Na  0.0000  0.0000  0.0000 x1
Na  0.0033  0.4960  0.4749 x1
Na  0.0082  0.5380  0.9907 x1
Na  0.2671  0.5010  0.2537 x1
Na  0.5255  0.0383  0.4552 x1
Na  0.5291  0.5292  0.9736 x1
Na  0.7430  0.0203  0.7512 x1
Na  0.7690  0.5192  0.7140 x1
Ta  0.0087  0.0075  0.4810 x1
Ta  0.2131  0.9923  0.7424 x1
Ta  0.2174  0.4918  0.7402 x1
Ta  0.2556  0.0043  0.2292 x1
Ta  0.4999  0.0095  0.9809 x1
Ta  0.5593  0.6062  0.5280 x1
Ta  0.7600  0.5072  0.2224 x1
Ta  0.7646  0.0082  0.2239 x1
O  0.0469  0.0755  0.1893 x1
O  0.0471  0.6912  0.1845 x1
O  0.1131  0.2922  0.5823 x1
O  0.1540  0.6922  0.6948 x1
O  0.1645  0.9509  0.5829 x1
O  0.2220  0.0533  0.3820 x1
O  0.2636  0.9373  0.0480 x1
O  0.3226  0.3057  0.7753 x1
O  0.3455  0.5713  0.4336 x1
O  0.3992  0.7118  0.8813 x1
O  0.4642  0.0714  0.8415 x1
O  0.4764  0.3013  0.2356 x1
O  0.4782  0.9370  0.2462 x1
O  0.5004  0.6410  0.6729 x1
O  0.6580  0.4139  0.5188 x1
O  0.6670  0.6919  0.1766 x1
O  0.6775  0.3248  0.0484 x1
O  0.6930  0.9616  0.0542 x1
O  0.7642  0.9080  0.5602 x1
O  0.8442  0.6898  0.3765 x1
O  0.8499  0.0674  0.3794 x1
O  0.8570  0.3173  0.2488 x1
O  0.9702  0.3868  0.7994 x1
O  0.9863  0.9345  0.8142 x1

***

[4]
Calculated X-ray diffraction stick pattern
Compound: NaTaO3
Radiation: copper Kα
Structure: a crystal structure in the Materials Project, relaxed with PBE
Intensities are scaled so that the largest is 100.

Top 10 peaks for 2θ = 5–70°, low angle first:
2θ 22.51, I = 100, hkl 0 2 0
2θ 22.73, I = 48, hkl 2 0 0
2θ 32.05, I = 48, hkl 0 2 2
2θ 32.21, I = 100, hkl 2 2 0
2θ 39.66, I = 21, hkl 2 2 2
2θ 45.96, I = 31, hkl 0 0 4
2θ 51.87, I = 22, hkl 2 4 0
2θ 52.19, I = 21, hkl 4 2 0
2θ 57.23, I = 42, hkl 2 4 2
2θ 57.53, I = 21, hkl 4 2 2

Structure:
Lattice parameters (Å, degrees): 7.8235 7.8941 7.9028 90.00 90.00 90.00
Space group Cmcm (No. 63)
Symmetry-distinct sites (fractional):
Na  0.0000  0.0028  0.2500 x4
Na  0.0000  0.4903  0.7500 x4
Ta  0.2500  0.2500  0.0000 x8
O  0.0000  0.2880  0.0362 x8
O  0.2106  0.0000  0.0000 x8
O  0.2130  0.2556  0.7500 x8

***

[5]
Calculated X-ray diffraction stick pattern
Compound: Na2TbO3
Radiation: copper Kα
Structure: a crystal structure in the Materials Project, relaxed with PBE
Intensities are scaled so that the largest is 100.

Top 10 peaks for 2θ = 5–70°, low angle first:
2θ 15.84, I = 100, hkl 0 0 1
2θ 17.91, I = 39, hkl 1 1 0
2θ 20.04, I = 30, hkl 1 1 -1
2θ 30.37, I = 35, hkl 1 3 0
2θ 31.71, I = 77, hkl 2 0 0
2θ 31.99, I = 23, hkl 0 0 2
2θ 36.66, I = 41, hkl 2 0 -2
2θ 36.97, I = 79, hkl 1 3 1
2θ 52.87, I = 26, hkl 3 3 -1
2θ 53.23, I = 25, hkl 1 3 -3

Structure:
Lattice parameters (Å, degrees): 6.0070 10.3489 5.9577 90.00 110.07 90.00
Space group C2/m (No. 12)
Symmetry-distinct sites (fractional):
Na  0.0000  0.0000  0.0000 x2
Na  0.0000  0.1595  0.5000 x4
Na  0.0000  0.5000  0.5000 x2
Tb  0.0000  0.3351  0.0000 x4
O  0.2131  0.5000  0.2275 x4
O  0.2437  0.3184  0.7777 x8